1.
Simulated X-ray diffraction stick pattern
Compound: AlS2O12
Radiation: Cu Kα (weighted mean of Kα1 and Kα2)
Structure: DFT lattice parameters and positions (GGA-PBE)

Principal peaks in the range 10° ≤ 2θ ≤ 80°, by angle:
d = 5.131 Å, 2θ 17.28, intensity 15
d = 4.677 Å, 2θ 18.97, intensity 16
d = 4.650 Å, 2θ 19.08, intensity 50
d = 3.973 Å, 2θ 22.38, intensity 75
d = 3.457 Å, 2θ 25.77, intensity 48
d = 3.216 Å, 2θ 27.74, intensity 100
d = 3.028 Å, 2θ 29.50, intensity 54
d = 2.339 Å, 2θ 38.49, intensity 14
d = 2.059 Å, 2θ 43.97, intensity 23
d = 1.986 Å, 2θ 45.67, intensity 15

Cell and atoms:
```
data_AlS2O12
_space_group_name_H-M_alt 'P 1'
_space_group_IT_number 1
_cell_length_a 9.355
_cell_length_b 17.757
_cell_length_c 5.360
_cell_angle_alpha 90.00
_cell_angle_beta 90.00
_cell_angle_gamma 90.00
loop_
_space_group_symop_operation_xyz
'x,y,z'
loop_
_atom_site_label
_atom_site_fract_x
_atom_site_fract_y
_atom_site_fract_z
Al1 0.000 0.000 0.000
Al2 0.000 0.500 0.000
Al3 0.500 0.000 0.500
Al4 0.500 0.500 0.500
S1 0.241 0.091 0.290
S2 0.241 0.409 0.290
S3 0.259 0.591 0.790
S4 0.259 0.909 0.790
S5 0.741 0.091 0.210
S6 0.741 0.409 0.210
S7 0.759 0.591 0.710
S8 0.759 0.909 0.710
O1 0.016 0.589 0.200
O2 0.016 0.911 0.200
O3 0.047 0.750 0.076
O4 0.081 0.250 0.944
O5 0.091 0.065 0.232
O6 0.091 0.435 0.232
O7 0.176 0.520 0.841
O8 0.176 0.980 0.841
O9 0.200 0.635 0.582
O10 0.200 0.865 0.582
O11 0.235 0.139 0.516
O12 0.235 0.361 0.516
O13 0.265 0.639 0.016
O14 0.265 0.861 0.016
O15 0.300 0.135 0.082
O16 0.300 0.365 0.082
O17 0.324 0.020 0.341
O18 0.324 0.480 0.341
O19 0.409 0.565 0.732
O20 0.409 0.935 0.732
O21 0.419 0.750 0.444
O22 0.453 0.250 0.576
O23 0.484 0.089 0.700
O24 0.484 0.411 0.700
O25 0.516 0.589 0.300
O26 0.516 0.911 0.300
O27 0.547 0.750 0.424
O28 0.581 0.250 0.556
O29 0.591 0.065 0.268
O30 0.591 0.435 0.268
O31 0.676 0.520 0.659
O32 0.676 0.980 0.659
O33 0.700 0.635 0.918
O34 0.700 0.865 0.918
O35 0.735 0.139 0.984
O36 0.735 0.361 0.984
O37 0.765 0.639 0.484
O38 0.765 0.861 0.484
O39 0.800 0.135 0.418
O40 0.800 0.365 0.418
O41 0.824 0.020 0.159
O42 0.824 0.480 0.159
O43 0.909 0.565 0.768
O44 0.909 0.935 0.768
O45 0.919 0.750 0.056
O46 0.953 0.250 0.924
O47 0.984 0.089 0.800
O48 0.984 0.411 0.800
```

2.
Simulated X-ray diffraction stick pattern
Compound: LaAl20V2
Radiation: Cu Kα (weighted mean of Kα1 and Kα2)
Structure: DFT lattice parameters and positions (GGA-PBE)

Principal peaks in the range 10° ≤ 2θ ≤ 80°, by angle:
d = 5.162 Å, 2θ 17.18, intensity 48
d = 4.402 Å, 2θ 20.17, intensity 83
d = 2.581 Å, 2θ 34.76, intensity 45
d = 2.468 Å, 2θ 36.40, intensity 100
d = 2.309 Å, 2θ 39.02, intensity 66
d = 2.227 Å, 2θ 40.51, intensity 94
d = 2.201 Å, 2θ 41.00, intensity 71
d = 1.721 Å, 2θ 53.23, intensity 45
d = 1.291 Å, 2θ 73.36, intensity 43
d = 1.238 Å, 2θ 77.00, intensity 25

Cell and atoms:
```
data_LaAl20V2
_space_group_name_H-M_alt 'P 1'
_space_group_IT_number 1
_cell_length_a 10.324
_cell_length_b 10.324
_cell_length_c 10.324
_cell_angle_alpha 60.00
_cell_angle_beta 60.00
_cell_angle_gamma 60.00
loop_
_space_group_symop_operation_xyz
'x,y,z'
loop_
_atom_site_label
_atom_site_fract_x
_atom_site_fract_y
_atom_site_fract_z
La1 0.125 0.125 0.125
La2 0.875 0.875 0.875
Al1 0.000 0.000 0.000
Al2 0.000 0.000 0.500
Al3 0.000 0.500 0.000
Al4 0.056 0.327 0.327
Al5 0.056 0.327 0.791
Al6 0.056 0.791 0.327
Al7 0.209 0.673 0.673
Al8 0.209 0.673 0.944
Al9 0.209 0.944 0.673
Al10 0.238 0.238 0.512
Al11 0.238 0.512 0.238
Al12 0.238 0.512 0.512
Al13 0.327 0.056 0.327
Al14 0.327 0.056 0.791
Al15 0.327 0.327 0.056
Al16 0.327 0.327 0.791
Al17 0.327 0.791 0.056
Al18 0.327 0.791 0.327
Al19 0.488 0.488 0.762
Al20 0.488 0.762 0.488
Al21 0.488 0.762 0.762
Al22 0.500 0.000 0.000
Al23 0.512 0.238 0.238
Al24 0.512 0.238 0.512
Al25 0.512 0.512 0.238
Al26 0.673 0.209 0.673
Al27 0.673 0.209 0.944
Al28 0.673 0.673 0.209
Al29 0.673 0.673 0.944
Al30 0.673 0.944 0.209
Al31 0.673 0.944 0.673
Al32 0.762 0.488 0.488
Al33 0.762 0.488 0.762
Al34 0.762 0.762 0.488
Al35 0.791 0.056 0.327
Al36 0.791 0.327 0.056
Al37 0.791 0.327 0.327
Al38 0.944 0.209 0.673
Al39 0.944 0.673 0.209
Al40 0.944 0.673 0.673
V1 0.000 0.500 0.500
V2 0.500 0.000 0.500
V3 0.500 0.500 0.000
V4 0.500 0.500 0.500
```